Structure and computed XRD peak list of Nd6HgAu (the PBE geometry in Alexandria; a wavelength of 1.5418 Å).
Peak positions follow from Bragg's law for the DFT cell and can differ from measured ones.

Largest 8 diffraction maxima, sorted by position, 15° ≤ 2θ ≤ 90°:
- 2θ 31.24, I = 100
- 2θ 33.88, I = 44
- 2θ 38.75, I = 9
- 2θ 40.57, I = 9
- 2θ 48.67, I = 16
- 2θ 53.86, I = 16
- 2θ 58.97, I = 33
- 2θ 65.16, I = 9

```
data_Nd6HgAu
_chemical_formula_sum 'Nd12 Hg2 Au2'
_cell_length_a 5.292
_cell_length_b 5.292
_cell_length_c 17.789
_cell_angle_alpha 90.00
_cell_angle_beta 90.00
_cell_angle_gamma 90.00
_symmetry_space_group_name_H-M 'I 4/m m m'
_symmetry_Int_Tables_number 139
_symmetry_space_group_name_Hall '-I 4 2'
loop_
_atom_site_label
_atom_site_type_symbol
_atom_site_fract_x
_atom_site_fract_y
_atom_site_fract_z
_atom_site_occupancy
Nd1 Nd 0.000 0.000 0.249 1
Nd2 Nd 0.000 0.500 0.107 1
Hg1 Hg 0.000 0.000 0.000 1
Au1 Au 0.000 0.000 0.500 1
```